No. 1
# CaGdRh2
Calculated X-ray powder pattern, Cu Kα (weighted mean of Kα1 and Kα2). Input: a structure optimized by DFT (GGA-PBE).
Intensities are scaled so that the largest is 100.

Top 9 peaks for 2θ from 15° to 90°, in order of falling intensity:
Position (°2θ), I_rel, index
36.94, 100.0, 2 2 0
66.55, 34.4, 4 2 2
22.37, 17.8, 1 1 1
53.23, 17.1, 4 0 0
78.63, 10.6, 4 4 0
43.61, 9.8, 3 1 1
58.44, 4.3, 3 3 1
82.99, 3.3, 5 3 1
71.18, 3.2, 5 1 1

Cell and atoms:
a b c (Å): 6.883 6.883 6.883
angles (deg): 90.00 90.00 90.00
Space group Fm-3m (No. 225)
Asymmetric unit:
1 Ca 0.000 0.000 0.000
2 Gd 0.000 0.000 0.500
3 Rh 0.250 0.250 0.250

=====

No. 2
# CaGd2S4
Calculated X-ray powder pattern, Cu Kα (weighted mean of Kα1 and Kα2). Input: a structure optimized by DFT (GGA-PBE).
Intensities are scaled so that the largest is 100.

Top 10 peaks for 2θ from 15° to 90°, in order of falling intensity:
Position (°2θ), I_rel, index
33.59, 100.0, 3 1 0
25.86, 98.6, 1 1 2
39.97, 74.2, 2 1 3
48.23, 38.2, 4 0 2
68.55, 37.7, 1 1 6
55.52, 30.6, 3 1 4
50.74, 25.8, 3 2 3
84.37, 16.1, 7 2 1
72.60, 14.3, 5 1 4
21.06, 13.5, 2 0 0

Cell and atoms:
a b c (Å): 8.435 8.435 8.447
angles (deg): 90.00 90.00 90.00
Space group I-42d (No. 122)
Asymmetric unit:
1 Ca 0.000 0.000 0.000
2 Gd 0.128 0.750 0.625
3 S 0.073 0.678 0.942

=====

No. 3
# Ca2Ge
Calculated X-ray powder pattern, Cu Kα (weighted mean of Kα1 and Kα2). Input: a structure optimized by DFT (GGA-PBE).
Intensities are scaled so that the largest is 100.

Top 10 peaks for 2θ from 15° to 90°, in order of falling intensity:
Position (°2θ), I_rel, index
35.16, 100.0, 2 2 0
21.32, 53.6, 1 1 1
63.09, 32.9, 4 2 2
41.48, 28.0, 3 1 1
50.57, 16.7, 4 0 0
84.97, 13.7, 6 2 0
55.48, 11.7, 3 3 1
74.32, 9.9, 4 4 0
67.40, 8.6, 5 1 1
78.36, 8.3, 5 3 1

Cell and atoms:
a b c (Å): 7.219 7.219 7.219
angles (deg): 90.00 90.00 90.00
Space group Fm-3m (No. 225)
Asymmetric unit:
1 Ca 0.250 0.250 0.250
2 Ge 0.000 0.000 0.000

=====

No. 4
# Ca2Ge
Calculated X-ray powder pattern, Cu Kα (weighted mean of Kα1 and Kα2). Input: a structure optimized by DFT (GGA-PBE).
Intensities are scaled so that the largest is 100.

Top 10 peaks for 2θ from 15° to 90°, in order of falling intensity:
Position (°2θ), I_rel, index
31.29, 100.0, 2 1 1
34.87, 64.8, 0 1 3
37.03, 49.4, 0 2 0
29.31, 43.2, 1 1 2
42.29, 31.0, 2 1 3
40.44, 26.4, 3 0 2
22.72, 22.3, 1 0 2
41.08, 22.2, 3 1 1
23.78, 22.1, 1 1 1
55.98, 21.0, 3 2 2

Cell and atoms:
a b c (Å): 7.678 4.855 9.101
angles (deg): 90.00 90.00 90.00
Space group Pnma (No. 62)
Asymmetric unit:
1 Ca 0.020 0.250 0.177
2 Ca 0.153 0.250 0.574
3 Ge 0.248 0.750 0.394

=====

No. 5
# CaGe3
Calculated X-ray powder pattern, Cu Kα (weighted mean of Kα1 and Kα2). Input: a structure optimized by DFT (GGA-PBE).
Intensities are scaled so that the largest is 100.

Top 10 peaks for 2θ from 15° to 90°, in order of falling intensity:
Position (°2θ), I_rel, index
35.75, 100.0, 3 0 1
35.01, 39.7, 2 1 3
39.13, 33.2, 2 0 4
35.36, 24.2, 1 1 4
50.11, 22.9, 3 3 0
15.45, 17.8, 0 0 2
59.00, 17.0, 3 2 5
84.60, 13.0, 6 3 1
41.05, 12.5, 1 0 5
45.89, 11.8, 2 2 4

Cell and atoms:
a b c (Å): 7.723 7.723 11.470
angles (deg): 90.00 90.00 90.00
Space group I4/mmm (No. 139)
Asymmetric unit:
1 Ca 0.000 0.000 0.166
2 Ca 0.000 0.500 0.250
3 Ge 0.000 0.331 0.000
4 Ge 0.183 0.183 0.383

=====

No. 6
# CaGe2
Calculated X-ray powder pattern, Cu Kα (weighted mean of Kα1 and Kα2). Input: a structure optimized by DFT (GGA-PBE).
Intensities are scaled so that the largest is 100.

Top 10 peaks for 2θ from 15° to 90°, in order of falling intensity:
Position (°2θ), I_rel, index
30.96, 100.0, 1 0 2
44.76, 83.3, 1 1 0
36.84, 79.1, 1 0 3
26.89, 68.5, 1 0 1
43.93, 53.2, 1 0 4
17.41, 48.3, 0 0 2
48.37, 21.9, 1 1 2
60.59, 21.7, 1 0 6
59.31, 18.5, 2 0 3
55.42, 18.4, 2 0 2

Cell and atoms:
a b c (Å): 4.0496 4.0496 10.1882
angles (deg): 90.00 90.00 120.00
Space group P6_3mc (No. 186)
Asymmetric unit:
1 Ca 0.3333 0.6667 0.0000
2 Ge 0.0000 0.0000 0.2070
3 Ge 0.3333 0.6667 0.3137

=====

No. 7
# CaGe2
Calculated X-ray powder pattern, Cu Kα (weighted mean of Kα1 and Kα2). Input: a structure optimized by DFT (GGA-PBE).
Intensities are scaled so that the largest is 100.

Top 10 peaks for 2θ from 15° to 90°, in order of falling intensity:
Position (°2θ), I_rel, index
32.80, 100.0, 1 0 7
44.76, 87.1, 1 1 0
41.55, 67.4, 0 1 11
28.01, 62.1, 1 0 4
17.47, 49.3, 0 0 6
26.07, 27.6, 0 1 2
34.78, 27.6, 0 1 8
48.40, 22.5, 1 1 6
56.59, 19.8, 0 2 7
62.72, 19.0, 2 0 11

Cell and atoms:
a b c (Å): 4.0493 4.0493 30.4634
angles (deg): 90.00 90.00 120.00
Space group R-3m (No. 166, hexagonal axes)
Asymmetric unit:
1 Ca 0.0000 0.0000 0.0808
2 Ge 0.0000 0.0000 0.1852
3 Ge 0.0000 0.0000 0.3505

=====

No. 8
# CaGe2
Calculated X-ray powder pattern, Cu Kα (weighted mean of Kα1 and Kα2). Input: a structure optimized by DFT (GGA-PBE).
Intensities are scaled so that the largest is 100.

Top 10 peaks for 2θ from 15° to 90°, in order of falling intensity:
Position (°2θ), I_rel, index
31.12, 100.0, 0 1 1
44.59, 76.1, 1 1 0
17.84, 21.4, 0 0 1
73.70, 20.1, 1 2 1
55.35, 18.5, 2 0 1
82.13, 18.0, 3 0 0
64.90, 11.5, 0 2 2
61.89, 11.3, 0 1 3
48.37, 10.3, 1 1 1
79.42, 5.4, 2 0 3

Cell and atoms:
a b c (Å): 4.0664 4.0664 4.9707
angles (deg): 90.00 90.00 120.00
Space group P-3m1 (No. 164)
Asymmetric unit:
1 Ca 0.0000 0.0000 0.0000
2 Ge 0.3333 0.6667 0.3936